No. 1
Diffraction record for Na4NpH7O9. The X-ray diffraction stick pattern is calculated, not measured: it uses a crystal structure in the Materials Project, relaxed with GGA-PBE and Cu Ka.
Intensities are scaled so that the largest is 100.

Largest 10 diffraction maxima, by angle, 10 to 90 degrees two-theta:
11.88 deg, 7.449 Å, rel. 100.0, (0 1 0)
15.79 deg, 5.613 Å, rel. 28.0, (1 0 -1)
15.93 deg, 5.564 Å, rel. 30.2, (1 0 0)
17.37 deg, 5.105 Å, rel. 40.2, (0 0 2)
17.65 deg, 5.024 Å, rel. 28.0, (0 1 -2)
18.12 deg, 4.896 Å, rel. 32.3, (-1 1 1)
18.88 deg, 4.701 Å, rel. 31.9, (1 -1 1)
22.65 deg, 3.925 Å, rel. 37.4, (0 2 -1)
26.44 deg, 3.371 Å, rel. 31.6, (1 0 -3)
32.99 deg, 2.715 Å, rel. 29.8, (2 -2 0)

Crystal structure
a = 6.0420 Å, b = 8.1724 Å, c = 10.9985 Å
α = 104.19°, β = 101.64°, γ = 105.89°
Space group P-1 (No. 2)
Asymmetric unit:
Na  0.0254  0.2220  0.0952 x2
Na  0.1073  0.3501  0.4219 x2
Na  0.2919  0.0348  0.5851 x2
Na  0.4449  0.1612  0.9241 x2
Np  0.1371  0.9138  0.2484 x2
H  0.0864  0.3229  0.6315 x2
H  0.2109  0.5158  0.8941 x2
H  0.2590  0.6115  0.7859 x2
H  0.3226  0.5693  0.2703 x2
H  0.3427  0.6747  0.6178 x2
H  0.4250  0.1383  0.1472 x2
H  0.4862  0.4560  0.3130 x2
O  0.0092  0.1919  0.5969 x2
O  0.0762  0.9459  0.7485 x2
O  0.1081  0.2742  0.8953 x2
O  0.2534  0.5697  0.6375 x2
O  0.2603  0.6352  0.8828 x2
O  0.2876  0.0312  0.0938 x2
O  0.3127  0.4521  0.2835 x2
O  0.3530  0.7787  0.2420 x2
O  0.3810  0.1043  0.3906 x2



No. 2
Diffraction record for NaHO. The X-ray diffraction stick pattern is calculated, not measured: it uses a crystal structure in the Materials Project, relaxed with GGA-PBE and Cu Ka.
Intensities are scaled so that the largest is 100.

Largest 10 diffraction maxima, by angle, 10 to 90 degrees two-theta:
15.78 deg, 5.616 Å, rel. 28.6, (2 0 0)
31.87 deg, 2.808 Å, rel. 100.0, (4 0 0)
36.88 deg, 2.437 Å, rel. 85.0, (1 1 -1)
38.86 deg, 2.317 Å, rel. 83.4, (1 1 1)
41.77 deg, 2.163 Å, rel. 30.3, (3 1 -1)
50.95 deg, 1.792 Å, rel. 27.9, (0 2 0)
51.95 deg, 1.760 Å, rel. 45.7, (5 1 -1)
55.61 deg, 1.653 Å, rel. 16.0, (0 0 2)
59.34 deg, 1.557 Å, rel. 24.8, (5 1 1)
61.37 deg, 1.511 Å, rel. 22.2, (4 2 0)

Crystal structure
a = 11.3901 Å, b = 3.5846 Å, c = 3.3520 Å
α = 90.00°, β = 99.57°, γ = 90.00°
Space group Cm (No. 8)
Asymmetric unit:
Na  0.0000  0.0000  0.0000 x2
Na  0.2117  0.5000  0.4448 x2
H  0.0340  0.5000  0.6718 x2
H  0.2946  0.0000  0.0695 x2
O  0.2104  0.0000  0.9450 x2
O  0.4841  0.0000  0.4082 x2